# 1
# Rb3AlCl6
Simulated XRD peak list, Cu Kα, 1.54184 Å. Input: DFT lattice parameters and positions (GGA-PBE).
Lines closer than 0.1° are merged.

Largest 8 diffraction maxima, most intense first, 2θ from 10° to 90°:
Position (°2θ), d/Å, I_rel
23.1, 3.851, 100
32.9, 2.723, 89
47.2, 1.925, 54
28.4, 3.144, 52
40.6, 2.223, 37
53.2, 1.722, 29
64.0, 1.455, 28
35.9, 2.499, 21

Cell and atoms:
Cell: 7.7015 7.7015 7.7015 Å, 60.00 60.00 60.00°
Positions (direct):
Rb1 0.0000 0.0000 0.0000
Rb2 0.2500 0.2500 0.2500
Rb3 0.7500 0.7500 0.7500
Al1 0.5000 0.5000 0.5000
Cl1 0.2847 0.2847 0.7153
Cl2 0.2847 0.7153 0.2847
Cl3 0.2847 0.7153 0.7153
Cl4 0.7153 0.2847 0.2847
Cl5 0.7153 0.2847 0.7153
Cl6 0.7153 0.7153 0.2847

=====

# 2
# Ti5CN4
Simulated XRD peak list, Cu Kα, 1.54184 Å. Input: DFT lattice parameters and positions (GGA-PBE).
Lines closer than 0.1° are merged.

Largest 7 diffraction maxima, most intense first, 2θ from 10° to 90°:
Position (°2θ), d/Å, I_rel
42.3, 2.136, 100
36.4, 2.466, 71
61.4, 1.510, 56
73.5, 1.288, 19
77.4, 1.233, 13
73.6, 1.287, 6
77.5, 1.231, 4

Cell and atoms:
Cell: 12.4377 12.4377 12.4377 Å, 13.96 13.96 13.96°
Positions (direct):
Ti1 0.0000 0.0000 0.0000
Ti2 0.1998 0.1998 0.1998
Ti3 0.3997 0.3997 0.3997
Ti4 0.6003 0.6003 0.6003
Ti5 0.8002 0.8002 0.8002
C1 0.5000 0.5000 0.5000
N1 0.0993 0.0993 0.0993
N2 0.3000 0.3000 0.3000
N3 0.7000 0.7000 0.7000
N4 0.9007 0.9007 0.9007